# Li2FeNiP2O8
Theoretical XRD peak list, λ = 1.5418 Å (Cu Kα). Input: a structure optimized by DFT (GGA+U).
Intensities are scaled so that the largest is 1000.

Crystal structure
abc: 4.739 6.007 10.299
angles: 90.00 90.24 90.00
Positions (direct):
1 Li 0.000 0.000 0.000
2 Li 0.000 0.500 0.000
3 Li 0.500 0.000 0.500
4 Li 0.500 0.500 0.500
5 Fe 0.024 0.250 0.277
6 Fe 0.976 0.750 0.723
7 Ni 0.483 0.250 0.780
8 Ni 0.517 0.750 0.220
9 P 0.083 0.750 0.402
10 P 0.419 0.750 0.909
11 P 0.581 0.250 0.091
12 P 0.917 0.250 0.598
13 O 0.202 0.750 0.543
14 O 0.222 0.546 0.332
15 O 0.222 0.954 0.332
16 O 0.242 0.250 0.603
17 O 0.258 0.250 0.093
18 O 0.283 0.544 0.838
19 O 0.283 0.956 0.838
20 O 0.295 0.750 0.049
21 O 0.705 0.250 0.951
22 O 0.717 0.044 0.162
23 O 0.717 0.456 0.162
24 O 0.742 0.750 0.907
25 O 0.758 0.750 0.397
26 O 0.778 0.046 0.668
27 O 0.778 0.454 0.668
28 O 0.798 0.250 0.457

Most intense lines, 10° ≤ 2θ ≤ 80°, most intense first:
2theta  Rel. int.  (hkl)
25.5  1000  1 1 1
29.7  698  0 2 0
20.6  592  1 0 1
35.5  589  1 1 -3
35.6  543  1 1 3
17.2  415  0 0 2
36.5  298  1 2 1
56.6  270  1 3 -3
52.4  252  2 2 2
52.2  214  2 2 -2